Theoretical X-ray diffraction stick pattern of LiMg6Cr for λ = 1.5418 Å (Cu Kα), from the GGA-PBE geometry in the Materials Project.
Lines closer than 0.1° are merged.

Most intense lines, 15° ≤ 2θ ≤ 90°, most intense first:
| Position (°2θ) | Rel. int. | index |
| --- | --- | --- |
| 37.77 | 1000 | 1 2 2 |
| 37.61 | 480 | 1 0 4 |
| 35.44 | 388 | 2 0 0 |
| 33.20 | 256 | 0 2 2 |
| 16.37 | 207 | 0 0 2 |
| 24.09 | 192 | 1 1 1 |

Crystal structure
```
data_LiMg6Cr
_chemical_formula_sum 'Li2 Mg12 Cr2'
_cell_length_a 5.0659
_cell_length_b 6.2203
_cell_length_c 10.8525
_cell_angle_alpha 90.00
_cell_angle_beta 90.00
_cell_angle_gamma 90.00
_symmetry_space_group_name_H-M 'A m m 2'
_symmetry_Int_Tables_number 38
_symmetry_space_group_name_Hall 'A 2 -2'
loop_
_atom_site_label
_atom_site_type_symbol
_atom_site_fract_x
_atom_site_fract_y
_atom_site_fract_z
Li1 Li 0.0000 0.0000 0.0000
Mg1 Mg 0.0000 0.0000 0.5021
Mg2 Mg 0.0000 0.2418 0.7562
Mg3 Mg 0.5000 0.0000 0.3354
Mg4 Mg 0.5000 0.2455 0.0850
Cr1 Cr 0.5000 0.0000 0.8352
```

***

Theoretical X-ray diffraction stick pattern of V2GeC for λ = 1.5418 Å (Cu Kα), from the GGA-PBE geometry in the Materials Project.
Lines closer than 0.1° are merged.

Most intense lines, 15° ≤ 2θ ≤ 90°, most intense first:
| Position (°2θ) | Rel. int. | index |
| --- | --- | --- |
| 41.12 | 1000 | 1 0 3 |
| 34.35 | 218 | 1 0 0 |
| 61.53 | 206 | 1 1 0 |
| 79.18 | 155 | 1 1 6 |
| 44.69 | 152 | 0 0 6 |
| 76.70 | 142 | 2 0 3 |

Crystal structure
```
data_V2GeC
_chemical_formula_sum 'V4 Ge2 C2'
_cell_length_a 3.0144
_cell_length_b 3.0144
_cell_length_c 12.1663
_cell_angle_alpha 90.00
_cell_angle_beta 90.00
_cell_angle_gamma 120.00
_symmetry_space_group_name_H-M 'P 63/m m c'
_symmetry_Int_Tables_number 194
_symmetry_space_group_name_Hall '-P 6c 2c'
loop_
_atom_site_label
_atom_site_type_symbol
_atom_site_fract_x
_atom_site_fract_y
_atom_site_fract_z
V1 V 0.3333 0.6667 0.0880
Ge1 Ge 0.3333 0.6667 0.7500
C1 C 0.0000 0.0000 0.0000
```

***

Theoretical X-ray diffraction stick pattern of Lu3Pu for λ = 1.5418 Å (Cu Kα), from the GGA-PBE geometry in the Materials Project.
Lines closer than 0.1° are merged.

Most intense lines, 15° ≤ 2θ ≤ 90°, most intense first:
| Position (°2θ) | Rel. int. | index |
| --- | --- | --- |
| 33.24 | 1000 | 1 1 2 |
| 38.50 | 337 | 2 0 0 |
| 66.31 | 279 | 3 1 2 |
| 55.74 | 234 | 2 0 4 |
| 38.71 | 166 | 0 0 4 |
| 66.61 | 138 | 1 1 6 |

Crystal structure
```
data_Lu3Pu
_chemical_formula_sum 'Lu6 Pu2'
_cell_length_a 4.6771
_cell_length_b 4.6771
_cell_length_c 9.3045
_cell_angle_alpha 90.00
_cell_angle_beta 90.00
_cell_angle_gamma 90.00
_symmetry_space_group_name_H-M 'I 4/m m m'
_symmetry_Int_Tables_number 139
_symmetry_space_group_name_Hall '-I 4 2'
loop_
_atom_site_label
_atom_site_type_symbol
_atom_site_fract_x
_atom_site_fract_y
_atom_site_fract_z
Lu1 Lu 0.0000 0.0000 0.0000
Lu2 Lu 0.0000 0.5000 0.2500
Pu1 Pu 0.0000 0.0000 0.5000
```

***

Theoretical X-ray diffraction stick pattern of LaMg3 for λ = 1.5418 Å (Cu Kα), from the GGA-PBE geometry in the Materials Project.
Lines closer than 0.1° are merged.

Most intense lines, 15° ≤ 2θ ≤ 90°, most intense first:
| Position (°2θ) | Rel. int. | index |
| --- | --- | --- |
| 34.13 | 1000 | 1 1 2 |
| 20.55 | 954 | 1 0 1 |
| 33.33 | 533 | 2 0 0 |
| 60.08 | 379 | 3 1 2 |
| 39.48 | 360 | 2 1 1 |
| 23.40 | 350 | 1 1 0 |

Crystal structure
```
data_LaMg3
_chemical_formula_sum 'La2 Mg6'
_cell_length_a 5.3760
_cell_length_b 5.3760
_cell_length_c 7.2702
_cell_angle_alpha 90.00
_cell_angle_beta 90.00
_cell_angle_gamma 90.00
_symmetry_space_group_name_H-M 'I 4/m m m'
_symmetry_Int_Tables_number 139
_symmetry_space_group_name_Hall '-I 4 2'
loop_
_atom_site_label
_atom_site_type_symbol
_atom_site_fract_x
_atom_site_fract_y
_atom_site_fract_z
La1 La 0.0000 0.0000 0.0000
Mg1 Mg 0.0000 0.0000 0.5000
Mg2 Mg 0.0000 0.5000 0.2500
```

***

Theoretical X-ray diffraction stick pattern of Ba2LiTmCu3O7 for λ = 1.5418 Å (Cu Kα), from the GGA-PBE geometry in the Materials Project.
Lines closer than 0.1° are merged.

Most intense lines, 15° ≤ 2θ ≤ 90°, most intense first:
| Position (°2θ) | Rel. int. | index |
| --- | --- | --- |
| 32.86 | 1000 | 1 0 1 |
| 31.71 | 703 | 1 3 0 |
| 30.92 | 634 | 0 3 1 |
| 36.21 | 444 | 0 4 1 |
| 36.91 | 362 | 1 4 0 |
| 46.01 | 292 | 0 0 2 |

Crystal structure
```
data_Ba2LiTmCu3O7
_chemical_formula_sum 'Ba2 Li1 Tm1 Cu3 O7'
_cell_length_a 3.7703
_cell_length_b 12.7599
_cell_length_c 3.9453
_cell_angle_alpha 90.00
_cell_angle_beta 90.00
_cell_angle_gamma 90.00
_symmetry_space_group_name_H-M 'P m m 2'
_symmetry_Int_Tables_number 25
_symmetry_space_group_name_Hall 'P 2 -2'
loop_
_atom_site_label
_atom_site_type_symbol
_atom_site_fract_x
_atom_site_fract_y
_atom_site_fract_z
Ba1 Ba 0.0000 0.2140 0.0000
Li1 Li 0.0000 0.0000 0.8507
Tm1 Tm 0.0000 0.5000 0.9939
Cu1 Cu 0.5000 0.0000 0.4365
Cu2 Cu 0.5000 0.3810 0.4942
O1 O 0.0000 0.3906 0.4936
O2 O 0.5000 0.0000 0.9419
O3 O 0.5000 0.1506 0.4576
O4 O 0.5000 0.3881 0.9940
```

***

Theoretical X-ray diffraction stick pattern of Ho7InCo4Ge12 for λ = 1.5418 Å (Cu Kα), from the GGA-PBE geometry in the Materials Project.
Lines closer than 0.1° are merged.

Most intense lines, 15° ≤ 2θ ≤ 90°, most intense first:
| Position (°2θ) | Rel. int. | index |
| --- | --- | --- |
| 34.76 | 1000 | 3 1 1 |
| 37.96 | 300 | 3 2 1 |
| 43.33 | 257 | 0 0 2 |
| 38.80 | 251 | 2 4 0 |
| 33.63 | 205 | 3 0 1 |
| 59.55 | 141 | 2 4 2 |

Crystal structure
```
data_Ho7InCo4Ge12
_chemical_formula_sum 'Ho7 In1 Co4 Ge12'
_cell_length_a 10.3806
_cell_length_b 10.3806
_cell_length_c 4.1766
_cell_angle_alpha 90.00
_cell_angle_beta 90.00
_cell_angle_gamma 90.00
_symmetry_space_group_name_H-M 'P 4/m'
_symmetry_Int_Tables_number 83
_symmetry_space_group_name_Hall '-P 4'
loop_
_atom_site_label
_atom_site_type_symbol
_atom_site_fract_x
_atom_site_fract_y
_atom_site_fract_z
Ho1 Ho 0.0000 0.0000 0.0000
Ho2 Ho 0.0000 0.5000 0.5000
Ho3 Ho 0.3223 0.6748 0.5000
In1 In 0.5000 0.5000 0.0000
Co1 Co 0.1177 0.2785 0.0000
Ge1 Ge 0.0654 0.1944 0.5000
Ge2 Ge 0.1128 0.7149 0.0000
Ge3 Ge 0.2122 0.4864 0.0000
```

***

Theoretical X-ray diffraction stick pattern of SmP3O9 for λ = 1.5418 Å (Cu Kα), from the GGA-PBE geometry in the Materials Project.
Lines closer than 0.1° are merged.

Most intense lines, 15° ≤ 2θ ≤ 90°, most intense first:
| Position (°2θ) | Rel. int. | index |
| --- | --- | --- |
| 24.21 | 1000 | 0 0 2 |
| 15.80 | 776 | 0 2 0 |
| 25.99 | 735 | 1 3 0 |
| 28.89 | 582 | 2 2 1 |
| 17.75 | 436 | 1 1 1 |
| 24.04 | 429 | 2 0 1 |

Crystal structure
```
data_SmP3O9
_chemical_formula_sum 'Sm4 P12 O36'
_cell_length_a 8.5700
_cell_length_b 11.2202
_cell_length_c 7.3521
_cell_angle_alpha 90.00
_cell_angle_beta 90.00
_cell_angle_gamma 90.00
_symmetry_space_group_name_H-M 'C 2 2 21'
_symmetry_Int_Tables_number 20
_symmetry_space_group_name_Hall 'C 2c 2'
loop_
_atom_site_label
_atom_site_type_symbol
_atom_site_fract_x
_atom_site_fract_y
_atom_site_fract_z
Sm1 Sm 0.1260 0.0000 0.0000
P1 P 0.0099 0.3245 0.5456
P2 P 0.2492 0.0000 0.5000
O1 O 0.0000 0.3749 0.7500
O2 O 0.0213 0.1939 0.9634
O3 O 0.1403 0.3901 0.0436
O4 O 0.1507 0.0183 0.3309
O5 O 0.1553 0.3740 0.4630
```